Entry 1:
AuS5I: simulated X-ray powder pattern (Cu Ka), based on DFT lattice parameters and positions (GGA-PBE).

Structure:
```
data_AuS5I
_space_group_name_H-M_alt 'P 1'
_space_group_IT_number 1
_space_group_name_Hall 'P 1'
_cell_length_a 4.110
_cell_length_b 7.550
_cell_length_c 8.092
_cell_angle_alpha 66.11
_cell_angle_beta 77.14
_cell_angle_gamma 86.53
loop_
_atom_site_label
_atom_site_type_symbol
_atom_site_fract_x
_atom_site_fract_y
_atom_site_fract_z
_atom_site_occupancy
Au1 Au 0.000 0.000 0.000 1
S1 S 0.071 0.466 0.981 1
S2 S 0.260 0.842 0.346 1
S3 S 0.479 0.444 0.818 1
S4 S 0.531 0.164 0.826 1
S5 S 0.654 0.737 0.229 1
I1 I 0.461 0.029 0.507 1
```

Largest 8 diffraction maxima, in order of falling intensity, 15 to 90 degrees two-theta:
27.7°, intensity 100
22.9°, intensity 71
22.7°, intensity 71
25.8°, intensity 50
28.4°, intensity 50
24.7°, intensity 45
33.0°, intensity 39
39.2°, intensity 38

Entry 2:
SbAuI6: simulated X-ray powder pattern (Cu Ka), based on DFT lattice parameters and positions (GGA-PBE).

Structure:
```
data_SbAuI6
_space_group_name_H-M_alt 'C 1 2/m 1'
_space_group_IT_number 12
_space_group_name_Hall '-C 2y'
_cell_length_a 9.921
_cell_length_b 9.384
_cell_length_c 7.974
_cell_angle_alpha 90.00
_cell_angle_beta 98.26
_cell_angle_gamma 90.00
loop_
_atom_site_label
_atom_site_type_symbol
_atom_site_fract_x
_atom_site_fract_y
_atom_site_fract_z
_atom_site_occupancy
Sb1 Sb 0.000 0.000 0.000 1
Au1 Au 0.000 0.000 0.500 1
I1 I 0.083 0.206 0.299 1
I2 I 0.210 0.500 0.073 1
```

Largest 8 diffraction maxima, in order of falling intensity, 15 to 90 degrees two-theta:
29.6°, intensity 100
22.7°, intensity 86
33.1°, intensity 44
27.6°, intensity 41
28.9°, intensity 34
18.1°, intensity 33
45.0°, intensity 28
27.3°, intensity 28

Entry 3:
Sb4Au2I3: simulated X-ray powder pattern (Cu Ka), based on DFT lattice parameters and positions (GGA-PBE).

Structure:
```
data_Sb4Au2I3
_space_group_name_H-M_alt 'C 1 2/c 1'
_space_group_IT_number 15
_space_group_name_Hall '-C 2yc'
_cell_length_a 14.468
_cell_length_b 11.854
_cell_length_c 7.711
_cell_angle_alpha 90.00
_cell_angle_beta 101.80
_cell_angle_gamma 90.00
loop_
_atom_site_label
_atom_site_type_symbol
_atom_site_fract_x
_atom_site_fract_y
_atom_site_fract_z
_atom_site_occupancy
Sb1 Sb 0.095 0.226 0.188 1
Sb2 Sb 0.188 0.446 0.247 1
Au1 Au 0.236 0.129 0.422 1
I1 I 0.000 0.442 0.750 1
I2 I 0.135 0.163 0.828 1
```

Largest 8 diffraction maxima, in order of falling intensity, 15 to 90 degrees two-theta:
26.8°, intensity 100
21.4°, intensity 78
32.5°, intensity 69
43.3°, intensity 54
23.4°, intensity 52
29.4°, intensity 50
38.9°, intensity 48
50.1°, intensity 39

Entry 4:
Sc2Au2I: simulated X-ray powder pattern (Cu Ka), based on DFT lattice parameters and positions (GGA-PBE).

Structure:
```
data_Sc2Au2I
_space_group_name_H-M_alt 'P 4/m b m'
_space_group_IT_number 127
_space_group_name_Hall '-P 4 2ab'
_cell_length_a 7.853
_cell_length_b 7.853
_cell_length_c 3.697
_cell_angle_alpha 90.00
_cell_angle_beta 90.00
_cell_angle_gamma 90.00
loop_
_atom_site_label
_atom_site_type_symbol
_atom_site_fract_x
_atom_site_fract_y
_atom_site_fract_z
_atom_site_occupancy
Sc1 Sc 0.158 0.342 0.000 1
Au1 Au 0.132 0.632 0.500 1
I1 I 0.000 0.000 0.000 1
```

Largest 8 diffraction maxima, in order of falling intensity, 15 to 90 degrees two-theta:
35.2°, intensity 100
36.2°, intensity 54
29.0°, intensity 50
25.4°, intensity 43
52.8°, intensity 26
62.7°, intensity 21
48.5°, intensity 20
69.3°, intensity 18

Entry 5:
AuSeI: simulated X-ray powder pattern (Cu Ka), based on DFT lattice parameters and positions (GGA-PBE).

Structure:
```
data_AuSeI
_space_group_name_H-M_alt 'C 1 2/m 1'
_space_group_IT_number 12
_space_group_name_Hall '-C 2y'
_cell_length_a 8.801
_cell_length_b 7.685
_cell_length_c 6.228
_cell_angle_alpha 90.00
_cell_angle_beta 92.03
_cell_angle_gamma 90.00
loop_
_atom_site_label
_atom_site_type_symbol
_atom_site_fract_x
_atom_site_fract_y
_atom_site_fract_z
_atom_site_occupancy
Au1 Au 0.250 0.250 0.000 1
Se1 Se 0.102 0.000 0.137 1
I1 I 0.106 0.500 0.313 1
```

Largest 8 diffraction maxima, in order of falling intensity, 15 to 90 degrees two-theta:
25.2°, intensity 100
33.9°, intensity 98
30.9°, intensity 56
37.2°, intensity 49
27.3°, intensity 46
47.6°, intensity 38
21.2°, intensity 31
43.2°, intensity 27

Entry 6:
Tl2AuSeI6: simulated X-ray powder pattern (Cu Ka), based on DFT lattice parameters and positions (GGA-PBE).

Structure:
```
data_Tl2AuSeI6
_space_group_name_H-M_alt 'P 1 21/c 1'
_space_group_IT_number 14
_space_group_name_Hall '-P 2ybc'
_cell_length_a 7.878
_cell_length_b 8.465
_cell_length_c 13.800
_cell_angle_alpha 90.00
_cell_angle_beta 118.11
_cell_angle_gamma 90.00
loop_
_atom_site_label
_atom_site_type_symbol
_atom_site_fract_x
_atom_site_fract_y
_atom_site_fract_z
_atom_site_occupancy
Tl1 Tl 0.191 0.093 0.228 1
Au1 Au 0.500 0.000 0.000 1
Se1 Se 0.000 0.000 0.500 1
I1 I 0.179 0.219 0.969 1
I2 I 0.222 0.687 0.935 1
I3 I 0.375 0.017 0.783 1
```

Largest 8 diffraction maxima, in order of falling intensity, 15 to 90 degrees two-theta:
31.1°, intensity 100
25.4°, intensity 82
20.4°, intensity 76
29.3°, intensity 68
25.6°, intensity 58
33.8°, intensity 42
40.6°, intensity 41
37.5°, intensity 41

Entry 7:
Si2AuI8: simulated X-ray powder pattern (Cu Ka), based on DFT lattice parameters and positions (GGA-PBE).

Structure:
```
data_Si2AuI8
_space_group_name_H-M_alt 'C 1 2/m 1'
_space_group_IT_number 12
_space_group_name_Hall '-C 2y'
_cell_length_a 14.440
_cell_length_b 10.223
_cell_length_c 7.401
_cell_angle_alpha 90.00
_cell_angle_beta 90.98
_cell_angle_gamma 90.00
loop_
_atom_site_label
_atom_site_type_symbol
_atom_site_fract_x
_atom_site_fract_y
_atom_site_fract_z
_atom_site_occupancy
Si1 Si 0.187 0.000 0.333 1
Au1 Au 0.000 0.000 0.000 1
I1 I 0.124 0.202 0.170 1
I2 I 0.134 0.000 0.652 1
I3 I 0.141 0.500 0.682 1
```

Largest 8 diffraction maxima, in order of falling intensity, 15 to 90 degrees two-theta:
24.6°, intensity 100
26.9°, intensity 35
15.9°, intensity 29
40.6°, intensity 26
35.1°, intensity 22
32.5°, intensity 21
24.4°, intensity 20
44.8°, intensity 16

Entry 8:
Sm3AuI3: simulated X-ray powder pattern (Cu Ka), based on DFT lattice parameters and positions (GGA-PBE).

Structure:
```
data_Sm3AuI3
_space_group_name_H-M_alt 'I 41 3 2'
_space_group_IT_number 214
_space_group_name_Hall 'I 4bd 2c 3'
_cell_length_a 12.527
_cell_length_b 12.527
_cell_length_c 12.527
_cell_angle_alpha 90.00
_cell_angle_beta 90.00
_cell_angle_gamma 90.00
loop_
_atom_site_label
_atom_site_type_symbol
_atom_site_fract_x
_atom_site_fract_y
_atom_site_fract_z
_atom_site_occupancy
Sm1 Sm 0.107 0.357 0.125 1
Au1 Au 0.125 0.125 0.125 1
I1 I 0.118 0.132 0.625 1
```

Largest 8 diffraction maxima, in order of falling intensity, 15 to 90 degrees two-theta:
28.5°, intensity 100
40.7°, intensity 72
66.8°, intensity 27
50.5°, intensity 24
74.2°, intensity 19
59.0°, intensity 11
36.6°, intensity 9
53.8°, intensity 7